(1)
Simulated powder XRD pattern of Th5Sb2Os2 for Cu Kα X-rays, from DFT lattice parameters and positions (PBE).

Structural model:
```
data_Th5Sb2Os2
_chemical_formula_sum 'Th20 Sb8 Os8'
_cell_length_a 17.419
_cell_length_b 9.257
_cell_length_c 6.390
_cell_angle_alpha 90.00
_cell_angle_beta 90.00
_cell_angle_gamma 90.00
_space_group_name_H-M_alt 'I m a 2'
_space_group_IT_number 46
_space_group_name_Hall 'I 2 -2a'
loop_
_atom_site_label
_atom_site_type_symbol
_atom_site_fract_x
_atom_site_fract_y
_atom_site_fract_z
Th1 Th 0.056 0.211 0.000
Th2 Th 0.149 0.607 0.699
Th3 Th 0.250 0.088 0.692
Sb1 Sb 0.088 0.568 0.183
Os1 Os 0.000 0.000 0.295
Os2 Os 0.250 0.122 0.163
```

Peak list (6 most intense, 5 to 70 degrees two-theta, by angle)
d_spacing, 2theta, I (rel.)
3.261, 27.4, 100.0
2.725, 32.9, 77.5
2.679, 33.4, 78.4
2.629, 34.1, 47.1
2.542, 35.3, 61.9
1.873, 48.6, 70.4

---

(2)
Simulated powder XRD pattern of CeThAsP for Cu Kα X-rays, from DFT lattice parameters and positions (PBE).

Structural model:
```
data_CeThAsP
_chemical_formula_sum 'Ce1 Th1 As1 P1'
_cell_length_a 4.196
_cell_length_b 4.196
_cell_length_c 5.898
_cell_angle_alpha 90.00
_cell_angle_beta 90.00
_cell_angle_gamma 90.00
_space_group_name_H-M_alt 'P 4/m m m'
_space_group_IT_number 123
_space_group_name_Hall '-P 4 2'
loop_
_atom_site_label
_atom_site_type_symbol
_atom_site_fract_x
_atom_site_fract_y
_atom_site_fract_z
Ce1 Ce 0.000 0.000 0.000
Th1 Th 0.500 0.500 0.500
As1 As 0.000 0.000 0.500
P1 P 0.500 0.500 0.000
```

Peak list (6 most intense, 5 to 70 degrees two-theta, by angle)
d_spacing, 2theta, I (rel.)
3.419, 26.1, 81.9
2.967, 30.1, 100.0
2.949, 30.3, 49.2
2.098, 43.1, 37.6
2.091, 43.3, 74.6
1.709, 53.6, 39.8

---

(3)
Simulated powder XRD pattern of Sc2HgSb for Cu Kα X-rays, from DFT lattice parameters and positions (PBE).

Structural model:
```
data_Sc2HgSb
_chemical_formula_sum 'Sc4 Hg2 Sb2'
_cell_length_a 4.184
_cell_length_b 4.199
_cell_length_c 10.358
_cell_angle_alpha 90.00
_cell_angle_beta 90.00
_cell_angle_gamma 90.00
_space_group_name_H-M_alt 'I m m 2'
_space_group_IT_number 44
_space_group_name_Hall 'I 2 -2'
loop_
_atom_site_label
_atom_site_type_symbol
_atom_site_fract_x
_atom_site_fract_y
_atom_site_fract_z
Sc1 Sc 0.000 0.000 0.000
Sc2 Sc 0.000 0.500 0.250
Hg1 Hg 0.000 0.500 0.750
Sb1 Sb 0.000 0.000 0.500
```

Peak list (6 most intense, 5 to 70 degrees two-theta, by angle)
d_spacing, 2theta, I (rel.)
3.885, 22.9, 49.5
2.665, 33.6, 19.6
2.589, 34.6, 25.5
2.572, 34.9, 100.0
2.099, 43.1, 13.8
1.492, 62.2, 18.1

---

(4)
Simulated powder XRD pattern of TePb4 for Cu Kα X-rays, from DFT lattice parameters and positions (PBE).

Structural model:
```
data_TePb4
_chemical_formula_sum 'Te2 Pb8'
_cell_length_a 7.758
_cell_length_b 7.758
_cell_length_c 5.234
_cell_angle_alpha 90.00
_cell_angle_beta 90.00
_cell_angle_gamma 90.00
_space_group_name_H-M_alt 'I 4/m'
_space_group_IT_number 87
_space_group_name_Hall '-I 4'
loop_
_atom_site_label
_atom_site_type_symbol
_atom_site_fract_x
_atom_site_fract_y
_atom_site_fract_z
Te1 Te 0.000 0.000 0.000
Pb1 Pb 0.107 0.303 0.500
```

Peak list (6 most intense, 5 to 70 degrees two-theta, by angle)
d_spacing, 2theta, I (rel.)
2.892, 30.9, 100.0
2.617, 34.3, 18.9
2.453, 36.6, 31.5
1.790, 51.0, 24.8
1.559, 59.3, 16.7
1.488, 62.4, 27.0

---

(5)
Simulated powder XRD pattern of Ca3YIn2 for Cu Kα X-rays, from DFT lattice parameters and positions (PBE).

Structural model:
```
data_Ca3YIn2
_chemical_formula_sum 'Ca6 Y2 In4'
_cell_length_a 5.316
_cell_length_b 9.845
_cell_length_c 7.110
_cell_angle_alpha 90.00
_cell_angle_beta 90.00
_cell_angle_gamma 90.00
_space_group_name_H-M_alt 'P m c 21'
_space_group_IT_number 26
_space_group_name_Hall 'P 2c -2'
loop_
_atom_site_label
_atom_site_type_symbol
_atom_site_fract_x
_atom_site_fract_y
_atom_site_fract_z
Ca1 Ca 0.000 0.049 0.000
Ca2 Ca 0.000 0.315 0.358
Ca3 Ca 0.500 0.182 0.712
Y1 Y 0.500 0.455 0.066
In1 In 0.000 0.368 0.817
In2 In 0.500 0.149 0.247
```

Peak list (6 most intense, 5 to 70 degrees two-theta, by angle)
d_spacing, 2theta, I (rel.)
4.047, 22.0, 38.3
3.908, 22.8, 40.0
2.955, 30.2, 38.2
2.830, 31.6, 100.0
2.792, 32.1, 88.6
2.658, 33.7, 57.6

---

(6)
Simulated powder XRD pattern of NpSbRh5 for Cu Kα X-rays, from DFT lattice parameters and positions (PBE).

Structural model:
```
data_NpSbRh5
_chemical_formula_sum 'Np4 Sb4 Rh20'
_cell_length_a 6.740
_cell_length_b 8.525
_cell_length_c 8.383
_cell_angle_alpha 90.00
_cell_angle_beta 90.00
_cell_angle_gamma 90.00
_space_group_name_H-M_alt 'I m m a'
_space_group_IT_number 74
_space_group_name_Hall '-I 2b 2'
loop_
_atom_site_label
_atom_site_type_symbol
_atom_site_fract_x
_atom_site_fract_y
_atom_site_fract_z
Np1 Np 0.000 0.250 0.120
Sb1 Sb 0.250 0.250 0.750
Rh1 Rh 0.000 0.012 0.716
Rh2 Rh 0.000 0.250 0.470
Rh3 Rh 0.206 0.000 0.000
```

Peak list (6 most intense, 5 to 70 degrees two-theta, by angle)
d_spacing, 2theta, I (rel.)
3.285, 27.1, 30.6
2.935, 30.5, 47.5
2.655, 33.8, 30.4
2.236, 40.3, 100.0
2.208, 40.9, 47.4
2.131, 42.4, 45.5

---

What is the formula in the sixth record?
NpSbRh5